Record 1
Simulated XRD peak list
Compound: CdAu3
Radiation: a wavelength of 1.5418 Å
Structure: DFT lattice parameters and positions (PBE)
Intensities are scaled so that the largest is 100.

Cell and atoms:
```
data_CdAu3
_chemical_formula_sum 'Cd1 Au3'
_space_group_name_H-M_alt 'P m -3 m'
_space_group_IT_number 221
_space_group_name_Hall '-P 4 2 3'
_cell_length_a 4.2159
_cell_length_b 4.2159
_cell_length_c 4.2159
_cell_angle_alpha 90.00
_cell_angle_beta 90.00
_cell_angle_gamma 90.00
loop_
_atom_site_label
_atom_site_fract_x
_atom_site_fract_y
_atom_site_fract_z
_atom_site_occupancy
Cd1 0.0000 0.0000 0.0000 1
Au1 0.0000 0.5000 0.5000 1
```

Largest 8 diffraction maxima, in order of falling intensity, 2θ = 15–90°:
d 2.434, 2θ 36.93, rel. 100
d 2.108, 2θ 42.90, rel. 49
d 1.271, 2θ 74.67, rel. 39
d 1.491, 2θ 62.29, rel. 33
d 1.217, 2θ 78.61, rel. 11
d 4.216, 2θ 21.07, rel. 4
d 2.981, 2θ 29.97, rel. 3
d 1.885, 2θ 48.27, rel. 2

***

Record 2
Simulated XRD peak list
Compound: CdAu3
Radiation: a wavelength of 1.5418 Å
Structure: DFT lattice parameters and positions (PBE)
Intensities are scaled so that the largest is 100.

Cell and atoms:
```
data_CdAu3
_chemical_formula_sum 'Cd2 Au6'
_space_group_name_H-M_alt 'P 63/m m c'
_space_group_IT_number 194
_space_group_name_Hall '-P 6c 2c'
_cell_length_a 5.9384
_cell_length_b 5.9384
_cell_length_c 4.9119
_cell_angle_alpha 90.00
_cell_angle_beta 90.00
_cell_angle_gamma 120.00
loop_
_atom_site_label
_atom_site_fract_x
_atom_site_fract_y
_atom_site_fract_z
_atom_site_occupancy
Cd1 0.3333 0.6667 0.2500 1
Au1 0.1663 0.3326 0.7500 1
```

Largest 8 diffraction maxima, in order of falling intensity, 2θ = 15–90°:
d 2.278, 2θ 39.56, rel. 100
d 2.456, 2θ 36.59, rel. 28
d 2.571, 2θ 34.89, rel. 23
d 1.271, 2θ 74.71, rel. 21
d 1.381, 2θ 67.86, rel. 21
d 1.485, 2θ 62.57, rel. 17
d 1.776, 2θ 51.45, rel. 16
d 1.244, 2θ 76.61, rel. 15

***

Record 3
Simulated XRD peak list
Compound: Cd3Au
Radiation: a wavelength of 1.5418 Å
Structure: DFT lattice parameters and positions (PBE)
Intensities are scaled so that the largest is 100.

Cell and atoms:
```
data_Cd3Au
_chemical_formula_sum 'Cd6 Au2'
_space_group_name_H-M_alt 'C m m m'
_space_group_IT_number 65
_space_group_name_Hall '-C 2 2'
_cell_length_a 3.0699
_cell_length_b 5.6542
_cell_length_c 9.9605
_cell_angle_alpha 90.00
_cell_angle_beta 90.00
_cell_angle_gamma 90.00
loop_
_atom_site_label
_atom_site_fract_x
_atom_site_fract_y
_atom_site_fract_z
_atom_site_occupancy
Cd1 0.0000 0.0000 0.0000 1
Cd2 0.0000 0.5000 0.2592 1
Au1 0.0000 0.0000 0.5000 1
```

Largest 8 diffraction maxima, in order of falling intensity, 2θ = 15–90°:
d 2.372, 2θ 37.93, rel. 100
d 2.827, 2θ 31.65, rel. 41
d 2.490, 2θ 36.07, rel. 28
d 1.529, 2θ 60.57, rel. 25
d 1.869, 2θ 48.73, rel. 24
d 1.414, 2θ 66.09, rel. 23
d 1.186, 2θ 81.08, rel. 11
d 1.154, 2θ 83.80, rel. 10

***

Record 4
Simulated XRD peak list
Compound: CsCdAuS2
Radiation: a wavelength of 1.5418 Å
Structure: DFT lattice parameters and positions (PBE)
Intensities are scaled so that the largest is 100.

Cell and atoms:
```
data_CsCdAuS2
_chemical_formula_sum 'Cs4 Cd4 Au4 S8'
_space_group_name_H-M_alt 'C m m e'
_space_group_IT_number 67
_space_group_name_Hall '-C 2a 2'
_cell_length_a 6.8398
_cell_length_b 14.1946
_cell_length_c 6.2247
_cell_angle_alpha 90.00
_cell_angle_beta 90.00
_cell_angle_gamma 90.00
loop_
_atom_site_label
_atom_site_fract_x
_atom_site_fract_y
_atom_site_fract_z
_atom_site_occupancy
Cs1 0.0000 0.2500 0.2305 1
Cd1 0.2500 0.0000 0.5000 1
Au1 0.0000 0.0000 0.0000 1
S1 0.0000 0.1052 0.7099 1
```

Largest 8 diffraction maxima, in order of falling intensity, 2θ = 15–90°:
d 2.850, 2θ 31.38, rel. 100
d 2.761, 2θ 32.42, rel. 88
d 3.549, 2θ 25.09, rel. 71
d 2.290, 2θ 39.35, rel. 71
d 2.997, 2θ 29.81, rel. 62
d 3.300, 2θ 27.02, rel. 59
d 1.883, 2θ 48.32, rel. 38
d 3.420, 2θ 26.06, rel. 35

***

Record 5
Simulated XRD peak list
Compound: DyCdAu
Radiation: a wavelength of 1.5418 Å
Structure: DFT lattice parameters and positions (PBE)
Intensities are scaled so that the largest is 100.

Cell and atoms:
```
data_DyCdAu
_chemical_formula_sum 'Dy3 Cd3 Au3'
_space_group_name_H-M_alt 'P -6 2 m'
_space_group_IT_number 189
_space_group_name_Hall 'P -6 -2'
_cell_length_a 7.8816
_cell_length_b 7.8816
_cell_length_c 3.8485
_cell_angle_alpha 90.00
_cell_angle_beta 90.00
_cell_angle_gamma 120.00
loop_
_atom_site_label
_atom_site_fract_x
_atom_site_fract_y
_atom_site_fract_z
_atom_site_occupancy
Dy1 0.0000 0.5929 0.0000 1
Cd1 0.0000 0.2633 0.5000 1
Au1 0.0000 0.0000 0.0000 1
Au2 0.3333 0.6667 0.5000 1
```

Largest 8 diffraction maxima, in order of falling intensity, 2θ = 15–90°:
d 2.553, 2θ 35.15, rel. 100
d 2.753, 2θ 32.52, rel. 78
d 2.275, 2θ 39.61, rel. 55
d 2.143, 2θ 42.17, rel. 39
d 1.450, 2θ 64.21, rel. 37
d 2.580, 2θ 34.77, rel. 32
d 1.469, 2θ 63.30, rel. 28
d 1.924, 2θ 47.24, rel. 23

***

Record 6
Simulated XRD peak list
Compound: ErCdAu
Radiation: a wavelength of 1.5418 Å
Structure: DFT lattice parameters and positions (PBE)
Intensities are scaled so that the largest is 100.

Cell and atoms:
```
data_ErCdAu
_chemical_formula_sum 'Er3 Cd3 Au3'
_space_group_name_H-M_alt 'P -6 2 m'
_space_group_IT_number 189
_space_group_name_Hall 'P -6 -2'
_cell_length_a 7.8954
_cell_length_b 7.8954
_cell_length_c 3.7730
_cell_angle_alpha 90.00
_cell_angle_beta 90.00
_cell_angle_gamma 120.00
loop_
_atom_site_label
_atom_site_fract_x
_atom_site_fract_y
_atom_site_fract_z
_atom_site_occupancy
Er1 0.0000 0.5967 0.0000 1
Cd1 0.0000 0.2670 0.5000 1
Au1 0.0000 0.0000 0.0000 1
Au2 0.3333 0.6667 0.5000 1
```

Largest 8 diffraction maxima, in order of falling intensity, 2θ = 15–90°:
d 2.533, 2θ 35.43, rel. 100
d 2.728, 2θ 32.84, rel. 85
d 2.279, 2θ 39.54, rel. 64
d 2.132, 2θ 42.39, rel. 40
d 1.448, 2θ 64.31, rel. 39
d 2.584, 2θ 34.71, rel. 33
d 1.453, 2θ 64.07, rel. 31
d 1.887, 2θ 48.24, rel. 23

***

Record 7
Simulated XRD peak list
Compound: CdAu2F12
Radiation: a wavelength of 1.5418 Å
Structure: DFT lattice parameters and positions (PBE)
Intensities are scaled so that the largest is 100.

Cell and atoms:
```
data_CdAu2F12
_chemical_formula_sum 'Cd4 Au8 F48'
_space_group_name_H-M_alt 'C 1 2/c 1'
_space_group_IT_number 15
_space_group_name_Hall '-C 2yc'
_cell_length_a 11.4330
_cell_length_b 9.0201
_cell_length_c 10.3687
_cell_angle_alpha 90.00
_cell_angle_beta 117.97
_cell_angle_gamma 90.00
loop_
_atom_site_label
_atom_site_fract_x
_atom_site_fract_y
_atom_site_fract_z
_atom_site_occupancy
Cd1 0.0000 0.1742 0.2500 1
Au1 0.2502 0.0024 0.1285 1
F1 0.1331 0.3507 0.2312 1
F2 0.1346 0.0041 0.2240 1
F3 0.1347 0.1479 0.9925 1
F4 0.1373 0.4955 0.4630 1
F5 0.1382 0.1573 0.4948 1
F6 0.1414 0.3451 0.7406 1
```

Largest 8 diffraction maxima, in order of falling intensity, 2θ = 15–90°:
d 4.499, 2θ 19.73, rel. 100
d 3.363, 2θ 26.50, rel. 54
d 3.383, 2θ 26.35, rel. 52
d 3.332, 2θ 26.76, rel. 50
d 5.049, 2θ 17.57, rel. 32
d 2.601, 2θ 34.48, rel. 21
d 2.304, 2θ 39.10, rel. 19
d 1.803, 2θ 50.61, rel. 19

***

Record 8
Simulated XRD peak list
Compound: CdAu2F8
Radiation: a wavelength of 1.5418 Å
Structure: DFT lattice parameters and positions (PBE)
Intensities are scaled so that the largest is 100.

Cell and atoms:
```
data_CdAu2F8
_chemical_formula_sum 'Cd2 Au4 F16'
_space_group_name_H-M_alt 'P 4/m c c'
_space_group_IT_number 124
_space_group_name_Hall '-P 4 2c'
_cell_length_a 5.8916
_cell_length_b 5.8916
_cell_length_c 10.5347
_cell_angle_alpha 90.00
_cell_angle_beta 90.00
_cell_angle_gamma 90.00
loop_
_atom_site_label
_atom_site_fract_x
_atom_site_fract_y
_atom_site_fract_z
_atom_site_occupancy
Cd1 0.0000 0.0000 0.2500 1
Au1 0.0000 0.5000 0.0000 1
F1 0.1453 0.3071 0.1297 1
```

Largest 8 diffraction maxima, in order of falling intensity, 2θ = 15–90°:
d 3.268, 2θ 27.29, rel. 100
d 1.756, 2θ 52.07, rel. 37
d 4.166, 2θ 21.33, rel. 34
d 1.963, 2θ 46.24, rel. 33
d 2.946, 2θ 30.34, rel. 27
d 5.267, 2θ 16.83, rel. 21
d 2.571, 2θ 34.90, rel. 17
d 2.083, 2θ 43.44, rel. 16

***

Record 9
Simulated XRD peak list
Compound: GdCdAu2
Radiation: a wavelength of 1.5418 Å
Structure: DFT lattice parameters and positions (PBE)
Intensities are scaled so that the largest is 100.

Cell and atoms:
```
data_GdCdAu2
_chemical_formula_sum 'Gd4 Cd4 Au8'
_space_group_name_H-M_alt 'F m -3 m'
_space_group_IT_number 225
_space_group_name_Hall '-F 4 2 3'
_cell_length_a 7.0444
_cell_length_b 7.0444
_cell_length_c 7.0444
_cell_angle_alpha 90.00
_cell_angle_beta 90.00
_cell_angle_gamma 90.00
loop_
_atom_site_label
_atom_site_fract_x
_atom_site_fract_y
_atom_site_fract_z
_atom_site_occupancy
Gd1 0.0000 0.0000 0.0000 1
Cd1 0.0000 0.0000 0.5000 1
Au1 0.2500 0.2500 0.2500 1
```

Largest 8 diffraction maxima, in order of falling intensity, 2θ = 15–90°:
d 2.491, 2θ 36.06, rel. 100
d 1.438, 2θ 64.84, rel. 36
d 1.761, 2θ 51.92, rel. 18
d 1.114, 2θ 87.60, rel. 17
d 1.245, 2θ 76.50, rel. 11
d 3.522, 2θ 25.29, rel. 4
d 1.575, 2θ 58.61, rel. 2
d 2.034, 2θ 44.56, rel. 1

***

Record 10
Simulated XRD peak list
Compound: LaCdAu2
Radiation: a wavelength of 1.5418 Å
Structure: DFT lattice parameters and positions (PBE)
Intensities are scaled so that the largest is 100.

Cell and atoms:
```
data_LaCdAu2
_chemical_formula_sum 'La4 Cd4 Au8'
_space_group_name_H-M_alt 'F m -3 m'
_space_group_IT_number 225
_space_group_name_Hall '-F 4 2 3'
_cell_length_a 7.2418
_cell_length_b 7.2418
_cell_length_c 7.2418
_cell_angle_alpha 90.00
_cell_angle_beta 90.00
_cell_angle_gamma 90.00
loop_
_atom_site_label
_atom_site_fract_x
_atom_site_fract_y
_atom_site_fract_z
_atom_site_occupancy
La1 0.0000 0.0000 0.0000 1
Cd1 0.0000 0.0000 0.5000 1
Au1 0.2500 0.2500 0.2500 1
```

Largest 8 diffraction maxima, in order of falling intensity, 2θ = 15–90°:
d 2.560, 2θ 35.05, rel. 100
d 1.478, 2θ 62.87, rel. 37
d 1.810, 2θ 50.40, rel. 18
d 1.145, 2θ 84.64, rel. 17
d 1.280, 2θ 74.05, rel. 11
d 3.621, 2θ 24.59, rel. 6
d 1.619, 2θ 56.86, rel. 3
d 2.091, 2θ 43.28, rel. 2

***

Record 11
Simulated XRD peak list
Compound: Li2CdAu
Radiation: a wavelength of 1.5418 Å
Structure: DFT lattice parameters and positions (PBE)
Intensities are scaled so that the largest is 100.

Cell and atoms:
```
data_Li2CdAu
_chemical_formula_sum 'Li8 Cd4 Au4'
_space_group_name_H-M_alt 'F m -3 m'
_space_group_IT_number 225
_space_group_name_Hall '-F 4 2 3'
_cell_length_a 6.4218
_cell_length_b 6.4218
_cell_length_c 6.4218
_cell_angle_alpha 90.00
_cell_angle_beta 90.00
_cell_angle_gamma 90.00
loop_
_atom_site_label
_atom_site_fract_x
_atom_site_fract_y
_atom_site_fract_z
_atom_site_occupancy
Li1 0.2500 0.2500 0.2500 1
Cd1 0.0000 0.0000 0.0000 1
Au1 0.0000 0.0000 0.5000 1
```

Largest 8 diffraction maxima, in order of falling intensity, 2θ = 15–90°:
d 3.211, 2θ 27.78, rel. 100
d 2.270, 2θ 39.70, rel. 89
d 1.436, 2θ 64.94, rel. 36
d 1.311, 2θ 72.05, rel. 30
d 1.854, 2θ 49.15, rel. 28
d 1.605, 2θ 57.40, rel. 15
d 3.708, 2θ 24.00, rel. 14
d 1.135, 2θ 85.55, rel. 10

***

Record 12
Simulated XRD peak list
Compound: LiCd2Au
Radiation: a wavelength of 1.5418 Å
Structure: DFT lattice parameters and positions (PBE)
Intensities are scaled so that the largest is 100.

Cell and atoms:
```
data_LiCd2Au
_chemical_formula_sum 'Li4 Cd8 Au4'
_space_group_name_H-M_alt 'F m -3 m'
_space_group_IT_number 225
_space_group_name_Hall '-F 4 2 3'
_cell_length_a 6.7062
_cell_length_b 6.7062
_cell_length_c 6.7062
_cell_angle_alpha 90.00
_cell_angle_beta 90.00
_cell_angle_gamma 90.00
loop_
_atom_site_label
_atom_site_fract_x
_atom_site_fract_y
_atom_site_fract_z
_atom_site_occupancy
Li1 0.0000 0.0000 0.0000 1
Cd1 0.2500 0.2500 0.2500 1
Au1 0.0000 0.0000 0.5000 1
```

Largest 8 diffraction maxima, in order of falling intensity, 2θ = 15–90°:
d 2.371, 2θ 37.95, rel. 100
d 3.872, 2θ 22.97, rel. 47
d 1.369, 2θ 68.55, rel. 34
d 2.022, 2θ 44.82, rel. 25
d 1.677, 2θ 54.75, rel. 17
d 1.186, 2θ 81.13, rel. 11
d 1.539, 2θ 60.14, rel. 11
d 1.134, 2θ 85.70, rel. 8

***

Record 13
Simulated XRD peak list
Compound: MgCdAu2
Radiation: a wavelength of 1.5418 Å
Structure: DFT lattice parameters and positions (PBE)
Intensities are scaled so that the largest is 100.

Cell and atoms:
```
data_MgCdAu2
_chemical_formula_sum 'Mg1 Cd1 Au2'
_space_group_name_H-M_alt 'P 4/m m m'
_space_group_IT_number 123
_space_group_name_Hall '-P 4 2'
_cell_length_a 3.2149
_cell_length_b 3.2149
_cell_length_c 7.3237
_cell_angle_alpha 90.00
_cell_angle_beta 90.00
_cell_angle_gamma 90.00
loop_
_atom_site_label
_atom_site_fract_x
_atom_site_fract_y
_atom_site_fract_z
_atom_site_occupancy
Mg1 0.0000 0.0000 0.0000 1
Cd1 0.0000 0.0000 0.5000 1
Au1 0.5000 0.5000 0.2295 1
```

Largest 8 diffraction maxima, in order of falling intensity, 2θ = 15–90°:
d 2.416, 2θ 37.22, rel. 100
d 2.273, 2θ 39.65, rel. 44
d 1.338, 2θ 70.35, rel. 31
d 3.215, 2θ 27.75, rel. 25
d 1.426, 2θ 65.45, rel. 16
d 3.662, 2θ 24.31, rel. 15
d 1.607, 2θ 57.32, rel. 15
d 2.944, 2θ 30.36, rel. 12

***

Record 14
Simulated XRD peak list
Compound: MgCdAu2
Radiation: a wavelength of 1.5418 Å
Structure: DFT lattice parameters and positions (PBE)
Intensities are scaled so that the largest is 100.

Cell and atoms:
```
data_MgCdAu2
_chemical_formula_sum 'Mg4 Cd4 Au8'
_space_group_name_H-M_alt 'F m -3 m'
_space_group_IT_number 225
_space_group_name_Hall '-F 4 2 3'
_cell_length_a 6.7132
_cell_length_b 6.7132
_cell_length_c 6.7132
_cell_angle_alpha 90.00
_cell_angle_beta 90.00
_cell_angle_gamma 90.00
loop_
_atom_site_label
_atom_site_fract_x
_atom_site_fract_y
_atom_site_fract_z
_atom_site_occupancy
Mg1 0.0000 0.0000 0.0000 1
Cd1 0.0000 0.0000 0.5000 1
Au1 0.2500 0.2500 0.2500 1
```

Largest 8 diffraction maxima, in order of falling intensity, 2θ = 15–90°:
d 2.373, 2θ 37.91, rel. 100
d 1.370, 2θ 68.47, rel. 35
d 3.357, 2θ 26.56, rel. 28
d 1.678, 2θ 54.69, rel. 17
d 1.501, 2θ 61.80, rel. 12
d 1.187, 2θ 81.03, rel. 11
d 1.938, 2θ 46.88, rel. 9
d 3.876, 2θ 22.95, rel. 7

***

Record 15
Simulated XRD peak list
Compound: NaCd2Au
Radiation: a wavelength of 1.5418 Å
Structure: DFT lattice parameters and positions (PBE)
Intensities are scaled so that the largest is 100.

Cell and atoms:
```
data_NaCd2Au
_chemical_formula_sum 'Na4 Cd8 Au4'
_space_group_name_H-M_alt 'F m -3 m'
_space_group_IT_number 225
_space_group_name_Hall '-F 4 2 3'
_cell_length_a 6.9531
_cell_length_b 6.9531
_cell_length_c 6.9531
_cell_angle_alpha 90.00
_cell_angle_beta 90.00
_cell_angle_gamma 90.00
loop_
_atom_site_label
_atom_site_fract_x
_atom_site_fract_y
_atom_site_fract_z
_atom_site_occupancy
Na1 0.0000 0.0000 0.0000 1
Cd1 0.2500 0.2500 0.2500 1
Au1 0.0000 0.0000 0.5000 1
```

Largest 8 diffraction maxima, in order of falling intensity, 2θ = 15–90°:
d 2.458, 2θ 36.55, rel. 100
d 1.419, 2θ 65.80, rel. 35
d 4.014, 2θ 22.14, rel. 34
d 2.096, 2θ 43.15, rel. 19
d 1.738, 2θ 52.65, rel. 17
d 1.099, 2θ 89.05, rel. 16
d 1.229, 2θ 77.69, rel. 11
d 1.595, 2θ 57.80, rel. 8